1.
The following is a theoretical powder XRD pattern of Nd2DyMg3Ir3. It was derived from a cell relaxed with PBE, using Cu Kα (weighted mean of Kα1 and Kα2).
Lines closer than 0.1° are merged.

```
data_Nd2DyMg3Ir3
_symmetry_space_group_name_H-M 'A m m 2'
_symmetry_Int_Tables_number 38
_cell_length_a 4.1158
_cell_length_b 12.7375
_cell_length_c 7.3730
_cell_angle_alpha 90.00
_cell_angle_beta 90.00
_cell_angle_gamma 90.00
loop_
_symmetry_equiv_pos_as_xyz
'x,y,z'
'-x,-y,z'
'-x,y,z'
'x,-y,z'
'x,y+1/2,z+1/2'
'-x,-y+1/2,z+1/2'
'-x,y+1/2,z+1/2'
'x,-y+1/2,z+1/2'
loop_
_atom_site_label
_atom_site_fract_x
_atom_site_fract_y
_atom_site_fract_z
Nd1 0.0000 0.2061 0.0000
Dy1 0.0000 0.0000 0.3866
Mg1 0.5000 0.0000 0.0374
Mg2 0.5000 0.1202 0.6711
Ir1 0.0000 0.0000 0.7885
Ir2 0.5000 0.1620 0.2954
```

Most intense lines, 10 to 90 degrees two-theta, in order of falling intensity:
hkl, 2theta, I/Imax
1 4 0, 35.6, 100
1 3 1, 32.6, 66
0 0 2, 24.2, 53
0 3 3, 42.5, 39
1 4 2, 43.5, 38
1 1 1, 25.8, 30
2 3 3, 62.9, 25
2 0 0, 44.0, 24
1 7 3, 68.0, 17
2 0 2, 50.8, 15

=====

2.
The following is a theoretical powder XRD pattern of Dy2MgSnIr4. It was derived from a cell relaxed with PBE, using Cu Kα (weighted mean of Kα1 and Kα2).
Lines closer than 0.1° are merged.

```
data_Dy2MgSnIr4
_symmetry_space_group_name_H-M 'P 4/m m m'
_symmetry_Int_Tables_number 123
_symmetry_space_group_name_Hall '-P 4 2'
_cell_length_a 4.6846
_cell_length_b 4.6846
_cell_length_c 6.6266
_cell_angle_alpha 90.00
_cell_angle_beta 90.00
_cell_angle_gamma 90.00
loop_
_atom_site_label
_atom_site_fract_x
_atom_site_fract_y
_atom_site_fract_z
Dy1 0.0000 0.0000 0.0000
Dy2 0.5000 0.5000 0.5000
Mg1 0.0000 0.0000 0.5000
Sn1 0.5000 0.5000 0.0000
Ir1 0.0000 0.5000 0.2502
```

Most intense lines, 10 to 90 degrees two-theta, in order of falling intensity:
hkl, 2theta, I/Imax
2 0 0, 38.4, 100
3 1 2, 69.5, 36
2 2 0, 55.5, 17
4 0 0, 82.3, 11
1 1 0, 26.9, 7
1 0 1, 23.3, 5
3 1 0, 62.7, 3
2 1 1, 45.4, 2
2 0 2, 47.5, 2
4 0 2, 88.6, 1

=====

3.
The following is a theoretical powder XRD pattern of TbDy2MgIr4. It was derived from a cell relaxed with PBE, using Cu Kα (weighted mean of Kα1 and Kα2).
Lines closer than 0.1° are merged.

```
data_TbDy2MgIr4
_symmetry_space_group_name_H-M 'P 4/m m m'
_symmetry_Int_Tables_number 123
_symmetry_space_group_name_Hall '-P 4 2'
_cell_length_a 4.7432
_cell_length_b 4.7432
_cell_length_c 6.7135
_cell_angle_alpha 90.00
_cell_angle_beta 90.00
_cell_angle_gamma 90.00
loop_
_atom_site_label
_atom_site_fract_x
_atom_site_fract_y
_atom_site_fract_z
Tb1 0.0000 0.0000 0.0000
Dy1 0.0000 0.0000 0.5000
Dy2 0.5000 0.5000 0.0000
Mg1 0.5000 0.5000 0.5000
Ir1 0.0000 0.5000 0.2558
```

Most intense lines, 10 to 90 degrees two-theta, in order of falling intensity:
hkl, 2theta, I/Imax
2 0 0, 37.9, 100
3 1 2, 68.5, 36
2 2 0, 54.7, 17
4 0 0, 81.1, 11
1 1 0, 26.6, 5
1 0 1, 23.0, 3
1 0 0, 18.7, 2
1 1 1, 29.8, 2
3 1 0, 61.8, 2
2 1 1, 44.8, 1

=====

4.
The following is a theoretical powder XRD pattern of Nd2DySn3IrPd2. It was derived from a cell relaxed with PBE, using Cu Kα (weighted mean of Kα1 and Kα2).
Lines closer than 0.1° are merged.

```
data_Nd2DySn3IrPd2
_symmetry_space_group_name_H-M 'A m m 2'
_symmetry_Int_Tables_number 38
_cell_length_a 4.0947
_cell_length_b 13.1375
_cell_length_c 7.5750
_cell_angle_alpha 90.00
_cell_angle_beta 90.00
_cell_angle_gamma 90.00
loop_
_symmetry_equiv_pos_as_xyz
'x,y,z'
'-x,-y,z'
'-x,y,z'
'x,-y,z'
'x,y+1/2,z+1/2'
'-x,-y+1/2,z+1/2'
'-x,y+1/2,z+1/2'
'x,-y+1/2,z+1/2'
loop_
_atom_site_label
_atom_site_fract_x
_atom_site_fract_y
_atom_site_fract_z
Nd1 0.0000 0.2038 0.0000
Dy1 0.0000 0.0000 0.3916
Sn1 0.5000 0.0000 0.0472
Sn2 0.5000 0.1254 0.6679
Ir1 0.0000 0.0000 0.7903
Pd1 0.5000 0.1626 0.2971
```

Most intense lines, 10 to 90 degrees two-theta, in order of falling intensity:
hkl, 2theta, I/Imax
1 4 0, 35.0, 100
1 3 1, 32.2, 84
0 1 3, 36.2, 40
0 3 3, 41.3, 37
1 1 3, 42.6, 36
1 7 3, 66.1, 34
2 0 0, 44.2, 28
2 3 3, 62.1, 22
2 1 3, 58.4, 20
1 5 3, 55.2, 13

=====

5.
The following is a theoretical powder XRD pattern of Tb2DyNiIr2Pb3. It was derived from a cell relaxed with PBE, using Cu Kα (weighted mean of Kα1 and Kα2).
Lines closer than 0.1° are merged.

```
data_Tb2DyNiIr2Pb3
_symmetry_space_group_name_H-M 'A m m 2'
_symmetry_Int_Tables_number 38
_cell_length_a 3.7863
_cell_length_b 13.4613
_cell_length_c 7.7801
_cell_angle_alpha 90.00
_cell_angle_beta 90.00
_cell_angle_gamma 90.00
loop_
_symmetry_equiv_pos_as_xyz
'x,y,z'
'-x,-y,z'
'-x,y,z'
'x,-y,z'
'x,y+1/2,z+1/2'
'-x,-y+1/2,z+1/2'
'-x,y+1/2,z+1/2'
'x,-y+1/2,z+1/2'
loop_
_atom_site_label
_atom_site_fract_x
_atom_site_fract_y
_atom_site_fract_z
Tb1 0.0000 0.2032 0.0000
Dy1 0.0000 0.0000 0.3904
Ni1 0.0000 0.0000 0.7966
Ir1 0.5000 0.1663 0.2970
Pb1 0.5000 0.0000 0.0555
Pb2 0.5000 0.1290 0.6675
```

Most intense lines, 10 to 90 degrees two-theta, in order of falling intensity:
hkl, 2theta, I/Imax
1 3 1, 33.0, 100
1 4 0, 35.7, 68
0 1 3, 35.3, 62
0 3 3, 40.2, 39
1 1 5, 65.2, 32
1 4 2, 42.8, 28
2 1 3, 61.0, 26
2 0 0, 48.1, 21
2 3 3, 64.4, 20
1 0 0, 23.5, 12

=====

6.
The following is a theoretical powder XRD pattern of TbDy2NiIr2Pb3. It was derived from a cell relaxed with PBE, using Cu Kα (weighted mean of Kα1 and Kα2).
Lines closer than 0.1° are merged.

```
data_TbDy2NiIr2Pb3
_symmetry_space_group_name_H-M 'A m m 2'
_symmetry_Int_Tables_number 38
_cell_length_a 3.7794
_cell_length_b 13.4232
_cell_length_c 7.7412
_cell_angle_alpha 90.00
_cell_angle_beta 90.00
_cell_angle_gamma 90.00
loop_
_symmetry_equiv_pos_as_xyz
'x,y,z'
'-x,-y,z'
'-x,y,z'
'x,-y,z'
'x,y+1/2,z+1/2'
'-x,-y+1/2,z+1/2'
'-x,y+1/2,z+1/2'
'x,-y+1/2,z+1/2'
loop_
_atom_site_label
_atom_site_fract_x
_atom_site_fract_y
_atom_site_fract_z
Tb1 0.0000 0.0000 0.0000
Dy1 0.0000 0.2038 0.6115
Ni1 0.0000 0.0000 0.4079
Ir1 0.5000 0.1672 0.9074
Pb1 0.5000 0.0000 0.6651
Pb2 0.5000 0.1290 0.2789
```

Most intense lines, 10 to 90 degrees two-theta, in order of falling intensity:
hkl, 2theta, I/Imax
1 0 2, 33.1, 100
1 2 2, 35.8, 70
0 5 1, 35.4, 63
0 6 0, 40.3, 38
1 8 2, 65.5, 32
1 5 1, 43.0, 29
2 5 1, 61.2, 27
2 0 0, 48.2, 22
2 6 0, 64.6, 19
1 0 0, 23.5, 12